Record 1
# K2Gd2Sb2Se9
Simulated powder diffraction line list, Cu Kα, 1.54184 Å. Input: a DFT-relaxed cell (GGA-PBE, the Materials Project).

Crystal structure
a = 23.1240 Å, b = 8.4697 Å, c = 21.2523 Å
α = 90.00°, β = 122.87°, γ = 90.00°
Space group C2/m (No. 12)
Inequivalent atoms, fractional coordinates:
K 0.1130 0.2500 0.4437 [8 per cell]
K 0.1696 0.2484 0.0567 [8 per cell]
Gd 0.0900 0.2510 0.7965 [8 per cell]
Gd 0.2066 0.2505 0.2968 [8 per cell]
Sb 0.0312 0.0000 0.1082 [4 per cell]
Sb 0.0385 0.5000 0.1352 [4 per cell]
Sb 0.0759 0.0000 0.6089 [4 per cell]
Sb 0.0975 0.5000 0.6341 [4 per cell]
Se 0.0000 0.2273 0.5000 [4 per cell]
Se 0.0000 0.2278 0.0000 [4 per cell]
Se 0.0099 0.0000 0.6796 [4 per cell]
Se 0.0124 0.5000 0.6803 [4 per cell]
Se 0.0514 0.2569 0.2198 [8 per cell]
Se 0.1096 0.0000 0.9047 [4 per cell]
Se 0.1132 0.5000 0.9121 [4 per cell]
Se 0.1669 0.0000 0.1783 [4 per cell]
Se 0.1683 0.2567 0.7194 [8 per cell]
Se 0.1705 0.5000 0.1820 [4 per cell]
Se 0.1749 0.0000 0.3698 [4 per cell]
Se 0.1799 0.5000 0.3737 [4 per cell]
Se 0.1934 0.5000 0.8721 [4 per cell]
Se 0.1947 0.0000 0.8710 [4 per cell]
Se 0.2018 0.0000 0.5929 [4 per cell]
Se 0.2052 0.5000 0.5902 [4 per cell]

Principal peaks in the range 10 to 80 degrees two-theta, by angle:
2theta	Rel. int.	hkl
12.53	36	2 0 1
29.07	100	0 2 4
30.10	88	2 2 3
32.56	36	8 0 -2
37.73	33	8 2 -4
42.70	43	0 4 0

***

Record 2
# KGdTe2
Simulated powder diffraction line list, Cu Kα, 1.54184 Å. Input: a DFT-relaxed cell (GGA-PBE, the Materials Project).

Crystal structure
a = 4.5385 Å, b = 4.5385 Å, c = 24.6471 Å
α = 90.00°, β = 90.00°, γ = 120.00°
Space group R-3m (No. 166, hexagonal axes)
Inequivalent atoms, fractional coordinates:
K 0.0000 0.0000 0.0000 [3 per cell]
Gd 0.0000 0.0000 0.5000 [3 per cell]
Te 0.0000 0.0000 0.2373 [6 per cell]

Principal peaks in the range 10 to 80 degrees two-theta, by angle:
2theta	Rel. int.	hkl
10.77	42	0 0 3
26.91	100	1 0 4
34.19	17	1 0 7
37.08	36	0 1 8
39.72	37	1 1 0
48.63	19	0 2 4

***

Record 3
# KGdTe4
Simulated powder diffraction line list, Cu Kα, 1.54184 Å. Input: a DFT-relaxed cell (GGA-PBE, the Materials Project).

Crystal structure
a = 6.8594 Å, b = 6.8594 Å, c = 8.9480 Å
α = 90.00°, β = 90.00°, γ = 90.00°
Space group P4/nbm (No. 125, origin choice 2)
Inequivalent atoms, fractional coordinates:
K 0.2500 0.2500 0.0000 [2 per cell]
Gd 0.2500 0.2500 0.5000 [2 per cell]
Te 0.1035 0.6035 0.2893 [8 per cell]

Principal peaks in the range 10 to 80 degrees two-theta, by angle:
2theta	Rel. int.	hkl
27.12	65	1 1 2
30.81	100	2 1 1
32.91	30	2 0 2
41.64	36	3 1 0
42.26	24	2 1 3
57.56	20	4 0 2